No. 1
# CdPbAu
Simulated X-ray powder pattern, Cu Kα (λ = 1.5418 Å). Input: the PBE geometry in Alexandria.

Cell and atoms:
```
data_CdPbAu
_cell_length_a 4.335
_cell_length_b 4.335
_cell_length_c 7.725
_cell_angle_alpha 90.00
_cell_angle_beta 90.00
_cell_angle_gamma 90.00
_symmetry_space_group_name_H-M 'P 4/n m m'
_symmetry_Int_Tables_number 129
loop_
_symmetry_equiv_pos_as_xyz
'x,y,z'
'-x,-y,-z'
'-y+1/2,x,z'
'y+1/2,-x,-z'
'-x+1/2,-y+1/2,z'
'x+1/2,y+1/2,-z'
'y,-x+1/2,z'
'-y,x+1/2,-z'
'x+1/2,-y,-z'
'-x+1/2,y,z'
'-y,-x,-z'
'y,x,z'
'-x,y+1/2,-z'
'x,-y+1/2,z'
'y+1/2,x+1/2,-z'
'-y+1/2,-x+1/2,z'
loop_
_atom_site_label
_atom_site_fract_x
_atom_site_fract_y
_atom_site_fract_z
_atom_site_occupancy
Cd1 0.250 0.750 0.000 1
Pb1 0.250 0.250 0.359 1
Au1 0.250 0.250 0.745 1
```

Principal peaks in the range 5 to 70 degrees two-theta, by angle:
d/Å  I (rel.)  hkl
3.065  632  1 1 0
2.884  462  1 0 2
2.849  803  1 1 1
2.401  1000  1 1 2
2.214  542  1 0 3
2.167  798  2 0 0

---

No. 2
# CdPb4Au
Simulated X-ray powder pattern, Cu Kα (λ = 1.5418 Å). Input: the PBE geometry in Alexandria.

Cell and atoms:
```
data_CdPb4Au
_cell_length_a 9.194
_cell_length_b 13.756
_cell_length_c 6.028
_cell_angle_alpha 90.00
_cell_angle_beta 113.80
_cell_angle_gamma 90.00
_symmetry_space_group_name_H-M 'C 1 2/c 1'
_symmetry_Int_Tables_number 15
loop_
_symmetry_equiv_pos_as_xyz
'x,y,z'
'-x,-y,-z'
'-x,y,-z+1/2'
'x,-y,z+1/2'
'x+1/2,y+1/2,z'
'-x+1/2,-y+1/2,-z'
'-x+1/2,y+1/2,-z+1/2'
'x+1/2,-y+1/2,z+1/2'
loop_
_atom_site_label
_atom_site_fract_x
_atom_site_fract_y
_atom_site_fract_z
_atom_site_occupancy
Cd1 0.000 0.127 0.250 1
Pb1 0.128 0.322 0.601 1
Pb2 0.207 0.074 0.835 1
Au1 0.000 0.485 0.250 1
```

Principal peaks in the range 5 to 70 degrees two-theta, by angle:
d/Å  I (rel.)  hkl
2.973  1000  3 1 -1
2.918  996  0 4 1
2.679  714  2 4 -1
2.623  757  2 2 1
2.615  518  1 5 0
2.392  531  3 3 0

---

No. 3
# Cd2Pb3Au4
Simulated X-ray powder pattern, Cu Kα (λ = 1.5418 Å). Input: the PBE geometry in Alexandria.

Cell and atoms:
```
data_Cd2Pb3Au4
_cell_length_a 10.996
_cell_length_b 4.573
_cell_length_c 8.879
_cell_angle_alpha 90.00
_cell_angle_beta 99.55
_cell_angle_gamma 90.00
_symmetry_space_group_name_H-M 'C 1 2/m 1'
_symmetry_Int_Tables_number 12
loop_
_symmetry_equiv_pos_as_xyz
'x,y,z'
'-x,-y,-z'
'-x,y,-z'
'x,-y,z'
'x+1/2,y+1/2,z'
'-x+1/2,-y+1/2,-z'
'-x+1/2,y+1/2,-z'
'x+1/2,-y+1/2,z'
loop_
_atom_site_label
_atom_site_fract_x
_atom_site_fract_y
_atom_site_fract_z
_atom_site_occupancy
Cd1 0.186 0.000 0.257 1
Pb1 0.000 0.500 0.500 1
Pb2 0.133 0.000 0.891 1
Au1 0.042 0.500 0.162 1
Au2 0.204 0.000 0.582 1
```

Principal peaks in the range 5 to 70 degrees two-theta, by angle:
d/Å  I (rel.)  hkl
2.836  1000  3 1 0
2.769  424  2 0 -3
2.535  266  3 1 -2
2.330  590  1 1 3
2.286  423  0 2 0
1.763  228  2 2 -3

---

No. 4
# CdPb5Au4
Simulated X-ray powder pattern, Cu Kα (λ = 1.5418 Å). Input: the PBE geometry in Alexandria.

Cell and atoms:
```
data_CdPb5Au4
_cell_length_a 15.831
_cell_length_b 4.636
_cell_length_c 7.396
_cell_angle_alpha 90.00
_cell_angle_beta 99.21
_cell_angle_gamma 90.00
_symmetry_space_group_name_H-M 'C 1 2/m 1'
_symmetry_Int_Tables_number 12
loop_
_symmetry_equiv_pos_as_xyz
'x,y,z'
'-x,-y,-z'
'-x,y,-z'
'x,-y,z'
'x+1/2,y+1/2,z'
'-x+1/2,-y+1/2,-z'
'-x+1/2,y+1/2,-z'
'x+1/2,-y+1/2,z'
loop_
_atom_site_label
_atom_site_fract_x
_atom_site_fract_y
_atom_site_fract_z
_atom_site_occupancy
Cd1 0.000 0.000 0.000 1
Pb1 0.000 0.000 0.500 1
Pb2 0.167 0.500 0.559 1
Pb3 0.170 0.500 0.054 1
Au1 0.012 0.500 0.775 1
Au2 0.147 0.000 0.289 1
```

Principal peaks in the range 5 to 70 degrees two-theta, by angle:
d/Å  I (rel.)  hkl
3.722  273  1 1 1
2.658  1000  3 1 -2
2.604  583  6 0 0
2.389  788  3 1 2
2.318  494  0 2 0
1.732  351  6 2 0